Structure and theoretical powder diffraction line list of CaV2RhO8 (a DFT-relaxed cell (GGA+U, Alexandria); CuKα).
Neutral-atom scattering factors, no anomalous dispersion.

Atomic structure:
Cell: 5.6212 5.6212 6.3554 Å, 90.00 90.00 120.00°
Fractional positions:
Ca 0.0000 0.0000 0.0000
V 0.3333 0.6667 0.2295
V 0.6667 0.3333 0.7705
Rh 0.0000 0.0000 0.5000
O 0.1578 0.3156 0.3033
O 0.1578 0.8422 0.3033
O 0.3156 0.1578 0.6967
O 0.3333 0.6667 0.9686
O 0.6667 0.3333 0.0314
O 0.6844 0.8422 0.3033
O 0.8422 0.1578 0.6967
O 0.8422 0.6844 0.6967

Most intense lines, 2θ from 10° to 90°, sorted by position:
hkl  2θ (°)  intensity
1 0 0  18.2  47
1 0 1  23.0  100
1 1 0  31.8  66
1 0 2  33.7  48
2 0 2  47.0  34
2 1 1  51.7  20
3 0 0  56.7  11
2 1 2  57.9  23
2 2 0  66.5  14
1 1 4  67.7  13